Rb2VSe: theoretical X-ray powder pattern (Cu Kα (λ = 1.5418 Å)), based on a DFT-relaxed cell (GGA-PBE, Alexandria).

Top 6 peaks for 2θ = 15–90°, sorted by position:
h k l	two_theta	I/Imax
3 1 0	20.92	65
2 1 1	23.73	100
4 0 0	26.56	62
4 2 0	29.76	76
4 1 1	33.24	33
3 1 2	43.29	27

Atomic structure:
Lattice parameters (Å, degrees): 13.4251 13.4251 4.8020 90.00 90.00 90.00
Sites, in units of the cell vectors:
Rb1 0.0644 0.2500 0.1250
Rb2 0.2500 0.5644 0.3750
Rb3 0.2500 0.9356 0.8750
Rb4 0.4356 0.2500 0.6250
Rb5 0.5644 0.7500 0.6250
Rb6 0.7500 0.0644 0.8750
Rb7 0.7500 0.4356 0.3750
Rb8 0.9356 0.7500 0.1250
V1 0.0000 0.0000 0.0000
V2 0.0000 0.5000 0.2500
V3 0.5000 0.0000 0.7500
V4 0.5000 0.5000 0.5000
Se1 0.0000 0.0000 0.5000
Se2 0.0000 0.5000 0.7500
Se3 0.5000 0.0000 0.2500
Se4 0.5000 0.5000 0.0000